Structure and theoretical XRD peak list of Li9Co7O16 (the PBE+U geometry in Alexandria; Cu Ka).

Top 8 peaks for 2θ = 15–90°, in order of rising 2θ:
h k l	two_theta	d_spacing	I/Imax
0 0 2	18.8	4.724	100
2 0 0	37.1	2.422	37
2 0 2	44.9	2.019	74
1 2 3	49.0	1.859	8
1 2 -5	59.2	1.562	9
1 2 5	64.8	1.439	13
3 2 -1	65.9	1.418	13
0 4 2	69.1	1.360	9

Cell and atoms:
```
data_Li9Co7O16
_chemical_formula_sum 'Li9 Co7 O16'
_symmetry_space_group_name_H-M 'P 1 2/m 1'
_symmetry_Int_Tables_number 10
_symmetry_space_group_name_Hall '-P 2y'
_cell_length_a 4.911
_cell_length_b 5.681
_cell_length_c 9.583
_cell_angle_alpha 90.00
_cell_angle_beta 99.62
_cell_angle_gamma 90.00
loop_
_atom_site_label
_atom_site_fract_x
_atom_site_fract_y
_atom_site_fract_z
Li1 0.000 0.000 0.000
Li2 0.243 0.000 0.751
Li3 0.247 0.500 0.748
Li4 0.250 0.247 0.249
Co1 0.000 0.250 0.500
Co2 0.000 0.500 0.000
Co3 0.500 0.000 0.500
Co4 0.500 0.246 0.000
Co5 0.500 0.500 0.500
O1 0.131 0.000 0.390
O2 0.131 0.500 0.391
O3 0.139 0.268 0.890
O4 0.367 0.500 0.109
O5 0.369 0.250 0.609
O6 0.398 0.000 0.112
```